The following is a simulated powder XRD pattern of Ca4Ho3Te8. It was derived from a crystal structure in Alexandria, relaxed with GGA-PBE, using CuKα.
Peak positions follow from Bragg's law for the DFT cell and can differ from measured ones.

Peak list (12 most intense, 10° ≤ 2θ ≤ 90°, by angle)
hkl, Position (°2θ), Rel. int.
0 0 3, 10.95, 42
0 2 1, 23.63, 16
2 0 2, 24.49, 12
0 2 4, 27.65, 100
0 2 7, 35.02, 22
2 0 8, 37.95, 45
2 2 0, 41.02, 44
4 0 4, 50.19, 19
0 4 8, 57.09, 16
2 2 12, 62.42, 16
2 4 4, 66.75, 16
4 2 8, 72.66, 21

Atomic structure:
abc: 8.8012 8.8012 24.2304
angles: 90.00 90.00 120.00
Space group R-3m (No. 166, hexagonal axes)
Asymmetric unit:
Ca1 0.0000 0.0000 0.0000 (multiplicity 3)
Ca2 0.0000 0.0000 0.1441 (multiplicity 6)
Ca3 0.0000 0.0000 0.5000 (multiplicity 3)
Ho1 0.0000 0.5000 0.0000 (multiplicity 9)
Te1 0.0000 0.0000 0.2661 (multiplicity 6)
Te2 0.0102 0.5051 0.2561 (multiplicity 18)